Entry 1:
This entry pairs a crystal structure of Ba2MgNi2O6 with its simulated powder diffractogram. Radiation: Cu Kα X-rays. Structure: a crystal structure in the Materials Project, relaxed with GGA+U.
Kinematic intensities with the Lorentz-polarization factor, no thermal factor.

Largest 12 diffraction maxima, low angle first, 2θ = 5–70°:
index, two_theta, d_spacing, I/Imax
2 0 -1, 21.03, 4.224, 57
1 1 1, 26.62, 3.349, 84
2 0 1, 28.48, 3.134, 40
0 2 0, 31.33, 2.855, 95
3 1 0, 31.80, 2.814, 91
3 1 -1, 32.07, 2.791, 95
1 1 -2, 36.40, 2.468, 100
2 2 -1, 38.04, 2.365, 63
2 2 1, 42.84, 2.111, 89
2 0 2, 43.79, 2.067, 31
5 1 -2, 52.37, 1.747, 29
1 3 -2, 59.12, 1.563, 28

Atomic structure:
```
data_Ba2MgNi2O6
_chemical_formula_sum 'Ba4 Mg2 Ni4 O12'
_space_group_name_H-M_alt 'C 1 m 1'
_space_group_IT_number 8
_space_group_name_Hall 'C -2y'
_cell_length_a 10.141
_cell_length_b 5.710
_cell_length_c 5.475
_cell_angle_alpha 90.00
_cell_angle_beta 106.90
_cell_angle_gamma 90.00
loop_
_atom_site_label
_atom_site_type_symbol
_atom_site_fract_x
_atom_site_fract_y
_atom_site_fract_z
Ba1 Ba 0.000 0.000 0.000
Ba2 Ba 0.238 0.500 0.372
Mg1 Mg 0.093 0.500 0.784
Ni1 Ni 0.316 0.000 0.741
Ni2 Ni 0.357 0.000 0.236
O1 O 0.213 0.000 0.384
O2 O 0.246 0.252 0.939
O3 O 0.460 0.215 0.517
O4 O 0.490 0.000 0.043
```

---

Entry 2:
This entry pairs a crystal structure of Ba2MgNi2O6 with its simulated powder diffractogram. Radiation: Cu Kα X-rays. Structure: a crystal structure in the Materials Project, relaxed with GGA+U.
Kinematic intensities with the Lorentz-polarization factor, no thermal factor.

Largest 12 diffraction maxima, low angle first, 2θ = 5–70°:
index, two_theta, d_spacing, I/Imax
1 1 -1, 23.33, 3.813, 96
1 1 1, 26.25, 3.395, 64
2 0 1, 26.89, 3.316, 43
3 1 0, 30.70, 2.912, 90
3 1 -1, 31.79, 2.815, 100
0 2 0, 32.57, 2.749, 81
0 0 2, 33.66, 2.662, 33
2 0 -2, 33.88, 2.646, 42
4 0 0, 34.83, 2.576, 60
1 1 2, 40.50, 2.227, 36
0 2 2, 47.54, 1.913, 34
2 2 -2, 47.70, 1.906, 45

Atomic structure:
```
data_Ba2MgNi2O6
_chemical_formula_sum 'Ba4 Mg2 Ni4 O12'
_space_group_name_H-M_alt 'C 1 m 1'
_space_group_IT_number 8
_space_group_name_Hall 'C -2y'
_cell_length_a 10.626
_cell_length_b 5.499
_cell_length_c 5.494
_cell_angle_alpha 90.00
_cell_angle_beta 104.27
_cell_angle_gamma 90.00
loop_
_atom_site_label
_atom_site_type_symbol
_atom_site_fract_x
_atom_site_fract_y
_atom_site_fract_z
Ba1 Ba 0.000 0.000 0.000
Ba2 Ba 0.078 0.500 0.609
Mg1 Mg 0.234 0.500 0.195
Ni1 Ni 0.265 0.000 0.668
Ni2 Ni 0.326 0.000 0.190
O1 O 0.035 0.500 0.116
O2 O 0.081 0.000 0.521
O3 O 0.268 0.241 0.947
O4 O 0.326 0.232 0.442
```

---

Entry 3:
This entry pairs a crystal structure of Ba2MgNi2O6 with its simulated powder diffractogram. Radiation: Cu Kα X-rays. Structure: a crystal structure in the Materials Project, relaxed with GGA+U.
Kinematic intensities with the Lorentz-polarization factor, no thermal factor.

Largest 12 diffraction maxima, low angle first, 2θ = 5–70°:
index, two_theta, d_spacing, I/Imax
1 0 1, 24.07, 3.697, 93
1 1 0, 31.37, 2.852, 100
0 0 2, 32.12, 2.787, 15
0 1 2, 37.04, 2.427, 31
0 2 1, 39.93, 2.258, 49
1 1 2, 45.51, 1.993, 46
2 0 2, 49.30, 1.848, 20
2 1 1, 51.63, 1.770, 22
3 0 0, 55.84, 1.646, 19
1 2 2, 59.61, 1.551, 18
2 2 0, 65.46, 1.426, 18
3 0 2, 65.89, 1.418, 15

Atomic structure:
```
data_Ba2MgNi2O6
_chemical_formula_sum 'Ba2 Mg1 Ni2 O6'
_space_group_name_H-M_alt 'P 3 m 1'
_space_group_IT_number 156
_space_group_name_Hall 'P 3 -2"'
_cell_length_a 5.7033
_cell_length_b 5.7033
_cell_length_c 5.5742
_cell_angle_alpha 90.00
_cell_angle_beta 90.00
_cell_angle_gamma 120.00
loop_
_atom_site_label
_atom_site_type_symbol
_atom_site_fract_x
_atom_site_fract_y
_atom_site_fract_z
Ba1 Ba 0.0000 0.0000 0.0000
Ba2 Ba 0.3333 0.6667 0.5197
Mg1 Mg 0.3333 0.6667 0.0231
Ni1 Ni 0.6667 0.3333 0.1473
Ni2 Ni 0.6667 0.3333 0.6403
O1 O 0.3695 0.1847 0.3621
O2 O 0.5120 0.0240 0.9048
```